Calculated powder XRD pattern
Compound: ErCd6Hg8
Radiation: a wavelength of 1.5418 Å
Structure: the GGA-PBE geometry in Alexandria

Principal peaks in the range 2θ from 5° to 70°, in order of rising 2θ:
- 2θ = 26.39°, 3.377 Å, rel. 45
- 2θ = 30.65°, 2.917 Å, rel. 100
- 2θ = 31.61°, 2.831 Å, rel. 40
- 2θ = 38.07°, 2.364 Å, rel. 68
- 2θ = 38.63°, 2.331 Å, rel. 32
- 2θ = 38.77°, 2.323 Å, rel. 31
- 2θ = 41.63°, 2.169 Å, rel. 30
- 2θ = 42.96°, 2.105 Å, rel. 18

Cell and atoms:
abc: 7.3315 7.3315 7.3315
angles: 83.95 83.95 83.95
Element x y z (fractional)
Er 0.0000 0.0000 0.0000
Cd 0.2035 0.4396 0.5751
Cd 0.4249 0.7965 0.5604
Cd 0.4396 0.5751 0.2035
Cd 0.5604 0.4249 0.7965
Cd 0.5751 0.2035 0.4396
Cd 0.7965 0.5604 0.4249
Hg 0.0729 0.8292 0.3817
Hg 0.1708 0.6183 0.9271
Hg 0.2223 0.2223 0.2223
Hg 0.3817 0.0729 0.8292
Hg 0.6183 0.9271 0.1708
Hg 0.7777 0.7777 0.7777
Hg 0.8292 0.3817 0.0729
Hg 0.9271 0.1708 0.6183



Calculated powder XRD pattern
Compound: Er7Cd6Hg16
Radiation: a wavelength of 1.5418 Å
Structure: the GGA-PBE geometry in Alexandria

Principal peaks in the range 2θ from 5° to 70°, in order of rising 2θ:
- 2θ = 17.63°, 5.030 Å, rel. 3
- 2θ = 21.64°, 4.107 Å, rel. 2
- 2θ = 25.04°, 3.556 Å, rel. 9
- 2θ = 35.70°, 2.515 Å, rel. 100
- 2θ = 44.10°, 2.053 Å, rel. 3
- 2θ = 51.38°, 1.778 Å, rel. 18
- 2θ = 57.99°, 1.591 Å, rel. 4
- 2θ = 64.14°, 1.452 Å, rel. 36

Cell and atoms:
abc: 10.0592 10.0592 10.0592
angles: 60.00 60.00 60.00
Element x y z (fractional)
Er 0.0000 0.0000 0.0000
Er 0.0000 0.0000 0.5000
Er 0.0000 0.5000 0.0000
Er 0.0000 0.5000 0.5000
Er 0.5000 0.0000 0.0000
Er 0.5000 0.0000 0.5000
Er 0.5000 0.5000 0.0000
Cd 0.2494 0.2494 0.7506
Cd 0.2494 0.7506 0.2494
Cd 0.2494 0.7506 0.7506
Cd 0.7506 0.2494 0.2494
Cd 0.7506 0.2494 0.7506
Cd 0.7506 0.7506 0.2494
Hg 0.1255 0.6248 0.6248
Hg 0.1285 0.1285 0.1285
Hg 0.1285 0.1285 0.6145
Hg 0.1285 0.6145 0.1285
Hg 0.3752 0.3752 0.3752
Hg 0.3752 0.3752 0.8745
Hg 0.3752 0.8745 0.3752
Hg 0.3855 0.8715 0.8715
Hg 0.6145 0.1285 0.1285
Hg 0.6248 0.1255 0.6248
Hg 0.6248 0.6248 0.1255
Hg 0.6248 0.6248 0.6248
Hg 0.8715 0.3855 0.8715
Hg 0.8715 0.8715 0.3855
Hg 0.8715 0.8715 0.8715
Hg 0.8745 0.3752 0.3752